For Pm3Sm5Tl, a PBE-relaxed structure gives the computed XRD peak list in this record (copper Kα).
No peak broadening, texture or thermal motion is included.

The 8 most intense peaks (10 to 80 degrees two-theta), by angle:
| two_theta | I/Imax |
| --- | --- |
| 15.1 | 67 |
| 28.1 | 34 |
| 30.4 | 100 |
| 32.0 | 76 |
| 32.1 | 77 |
| 34.8 | 82 |
| 38.8 | 54 |
| 38.9 | 49 |

a b c (Å): 7.704 7.704 11.471
angles (deg): 90.17 90.17 99.40
Fractional positions:
Pm 0.000 0.000 0.000
Pm 0.000 0.000 0.500
Pm 0.175 0.175 0.250
Pm 0.335 0.335 0.510
Pm 0.665 0.665 0.490
Pm 0.825 0.825 0.750
Sm 0.118 0.624 0.364
Sm 0.253 0.747 0.000
Sm 0.322 0.322 0.999
Sm 0.376 0.882 0.636
Sm 0.485 0.485 0.759
Sm 0.515 0.515 0.241
Sm 0.624 0.118 0.364
Sm 0.678 0.678 0.001
Sm 0.747 0.253 0.000
Sm 0.882 0.376 0.636
Tl 0.156 0.156 0.760
Tl 0.844 0.844 0.240

For Pm4Sm2Tl, a PBE-relaxed structure gives the computed XRD peak list in this record (copper Kα).
No peak broadening, texture or thermal motion is included.

The 8 most intense peaks (10 to 80 degrees two-theta), by angle:
| two_theta | I/Imax |
| --- | --- |
| 26.1 | 22 |
| 30.5 | 100 |
| 30.6 | 21 |
| 31.1 | 62 |
| 31.5 | 51 |
| 32.4 | 25 |
| 32.6 | 25 |
| 53.6 | 20 |

a b c (Å): 5.858 6.834 11.790
angles (deg): 90.00 103.48 90.00
Fractional positions:
Pm 0.099 0.250 0.129
Pm 0.277 0.750 0.430
Pm 0.342 0.509 0.715
Pm 0.342 0.991 0.715
Pm 0.658 0.009 0.285
Pm 0.658 0.491 0.285
Pm 0.723 0.250 0.570
Pm 0.901 0.750 0.871
Sm 0.165 0.250 0.432
Sm 0.472 0.750 0.023
Sm 0.528 0.250 0.977
Sm 0.835 0.750 0.568
Tl 0.042 0.750 0.157
Tl 0.958 0.250 0.843

For Pm2Sm3Tl2, a PBE-relaxed structure gives the computed XRD peak list in this record (copper Kα).
No peak broadening, texture or thermal motion is included.

The 8 most intense peaks (10 to 80 degrees two-theta), by angle:
| two_theta | I/Imax |
| --- | --- |
| 30.4 | 100 |
| 31.1 | 38 |
| 32.5 | 99 |
| 33.8 | 50 |
| 38.0 | 29 |
| 43.5 | 23 |
| 46.6 | 25 |
| 59.9 | 35 |

a b c (Å): 3.726 5.308 22.578
angles (deg): 90.00 90.00 90.00
Fractional positions:
Pm 0.000 0.000 0.073
Pm 0.000 0.000 0.927
Pm 0.500 0.500 0.427
Pm 0.500 0.500 0.573
Sm 0.000 0.000 0.500
Sm 0.000 0.500 0.297
Sm 0.000 0.500 0.703
Sm 0.500 0.000 0.203
Sm 0.500 0.000 0.797
Sm 0.500 0.500 0.000
Tl 0.000 0.500 0.151
Tl 0.000 0.500 0.849
Tl 0.500 0.000 0.349
Tl 0.500 0.000 0.651

For Pm4Sm3Tl, a PBE-relaxed structure gives the computed XRD peak list in this record (copper Kα).
No peak broadening, texture or thermal motion is included.

The 8 most intense peaks (10 to 80 degrees two-theta), by angle:
| two_theta | I/Imax |
| --- | --- |
| 29.8 | 64 |
| 32.5 | 100 |
| 42.7 | 24 |
| 54.7 | 46 |
| 59.5 | 16 |
| 68.0 | 11 |
| 70.3 | 11 |
| 71.7 | 10 |

a b c (Å): 4.235 4.235 14.535
angles (deg): 90.00 90.00 90.00
Fractional positions:
Pm 0.000 0.000 0.112
Pm 0.000 0.000 0.371
Pm 0.000 0.000 0.629
Pm 0.000 0.000 0.888
Sm 0.500 0.500 0.247
Sm 0.500 0.500 0.500
Sm 0.500 0.500 0.753
Tl 0.500 0.500 0.000

For Pm3Sm12Tl, a PBE-relaxed structure gives the computed XRD peak list in this record (copper Kα).
No peak broadening, texture or thermal motion is included.

The 8 most intense peaks (10 to 80 degrees two-theta), by angle:
| two_theta | I/Imax |
| --- | --- |
| 30.4 | 100 |
| 34.8 | 17 |
| 35.4 | 33 |
| 50.5 | 24 |
| 51.0 | 12 |
| 59.7 | 14 |
| 60.5 | 28 |
| 63.3 | 12 |

a b c (Å): 5.064 5.064 20.605
angles (deg): 90.00 90.00 90.00
Fractional positions:
Pm 0.000 0.000 0.000
Pm 0.000 0.000 0.252
Pm 0.000 0.000 0.748
Sm 0.000 0.500 0.127
Sm 0.000 0.500 0.379
Sm 0.000 0.500 0.621
Sm 0.000 0.500 0.873
Sm 0.500 0.000 0.127
Sm 0.500 0.000 0.379
Sm 0.500 0.000 0.621
Sm 0.500 0.000 0.873
Sm 0.500 0.500 0.000
Sm 0.500 0.500 0.255
Sm 0.500 0.500 0.500
Sm 0.500 0.500 0.745
Tl 0.000 0.000 0.500

For Pm6Sm5Tl, a PBE-relaxed structure gives the computed XRD peak list in this record (copper Kα).
No peak broadening, texture or thermal motion is included.

The 8 most intense peaks (10 to 80 degrees two-theta), by angle:
| two_theta | I/Imax |
| --- | --- |
| 30.4 | 100 |
| 30.5 | 33 |
| 35.2 | 45 |
| 35.3 | 22 |
| 50.7 | 24 |
| 50.8 | 24 |
| 60.2 | 29 |
| 60.3 | 24 |

a b c (Å): 6.246 6.246 11.925
angles (deg): 95.07 95.07 120.12
Fractional positions:
Pm 0.082 0.409 0.747
Pm 0.244 0.244 0.251
Pm 0.409 0.082 0.747
Pm 0.591 0.918 0.253
Pm 0.756 0.756 0.749
Pm 0.918 0.591 0.253
Sm 0.168 0.832 0.000
Sm 0.334 0.666 0.500
Sm 0.500 0.500 0.000
Sm 0.666 0.334 0.500
Sm 0.832 0.168 0.000
Tl 0.000 0.000 0.500

For Pm4Sm4Tl, a PBE-relaxed structure gives the computed XRD peak list in this record (copper Kα).
No peak broadening, texture or thermal motion is included.

The 8 most intense peaks (10 to 80 degrees two-theta), by angle:
| two_theta | I/Imax |
| --- | --- |
| 30.5 | 100 |
| 35.0 | 34 |
| 35.9 | 16 |
| 50.4 | 12 |
| 51.1 | 24 |
| 60.1 | 29 |
| 61.2 | 14 |
| 63.4 | 12 |

a b c (Å): 8.078 8.078 8.078
angles (deg): 95.50 95.50 143.94
Fractional positions:
Pm 0.000 0.335 0.335
Pm 0.000 0.665 0.665
Pm 0.335 0.000 0.335
Pm 0.665 0.000 0.665
Sm 0.339 0.339 0.678
Sm 0.339 0.661 0.000
Sm 0.661 0.339 0.000
Sm 0.661 0.661 0.322
Tl 0.000 0.000 0.000

For Pm2SmTmTl2, a PBE-relaxed structure gives the computed XRD peak list in this record (copper Kα).
No peak broadening, texture or thermal motion is included.

The 8 most intense peaks (10 to 80 degrees two-theta), by angle:
| two_theta | I/Imax |
| --- | --- |
| 29.4 | 20 |
| 31.1 | 60 |
| 31.2 | 21 |
| 31.6 | 100 |
| 32.4 | 84 |
| 34.3 | 37 |
| 34.9 | 60 |
| 37.1 | 25 |

a b c (Å): 5.149 10.149 6.934
angles (deg): 90.00 90.00 90.00
Fractional positions:
Pm 0.000 0.047 0.000
Pm 0.000 0.953 0.500
Pm 0.500 0.184 0.278
Pm 0.500 0.816 0.778
Sm 0.500 0.455 0.905
Sm 0.500 0.545 0.405
Tm 0.000 0.312 0.620
Tm 0.000 0.688 0.120
Tl 0.000 0.374 0.167
Tl 0.000 0.626 0.667
Tl 0.500 0.142 0.742
Tl 0.500 0.858 0.242

For Pm4Sm2Tm, a PBE-relaxed structure gives the computed XRD peak list in this record (copper Kα).
No peak broadening, texture or thermal motion is included.

The 8 most intense peaks (10 to 80 degrees two-theta), by angle:
| two_theta | I/Imax |
| --- | --- |
| 29.3 | 100 |
| 31.0 | 58 |
| 33.4 | 59 |
| 34.1 | 22 |
| 38.0 | 12 |
| 48.0 | 14 |
| 57.2 | 17 |
| 60.6 | 28 |

a b c (Å): 6.304 6.304 15.616
angles (deg): 90.00 90.00 129.56
Fractional positions:
Pm 0.100 0.900 0.806
Pm 0.204 0.796 0.570
Pm 0.296 0.704 0.070
Pm 0.400 0.600 0.306
Pm 0.600 0.400 0.694
Pm 0.704 0.296 0.930
Pm 0.796 0.204 0.430
Pm 0.900 0.100 0.194
Sm 0.106 0.894 0.344
Sm 0.394 0.606 0.844
Sm 0.606 0.394 0.156
Sm 0.894 0.106 0.656
Tm 0.000 0.000 0.000
Tm 0.500 0.500 0.500

For Pm3Sm8Tm2, a PBE-relaxed structure gives the computed XRD peak list in this record (copper Kα).
No peak broadening, texture or thermal motion is included.

The 8 most intense peaks (10 to 80 degrees two-theta), by angle:
| two_theta | I/Imax |
| --- | --- |
| 24.6 | 24 |
| 29.4 | 34 |
| 30.8 | 35 |
| 31.1 | 45 |
| 33.0 | 100 |
| 40.0 | 13 |
| 56.6 | 22 |
| 63.8 | 11 |

a b c (Å): 10.820 10.820 5.755
angles (deg): 90.03 90.03 41.93
Fractional positions:
Pm 0.000 0.000 0.000
Pm 0.289 0.711 0.500
Pm 0.711 0.289 0.500
Sm 0.135 0.135 0.499
Sm 0.183 0.600 0.000
Sm 0.326 0.326 0.499
Sm 0.400 0.817 0.000
Sm 0.600 0.183 0.000
Sm 0.674 0.674 0.501
Sm 0.817 0.400 0.000
Sm 0.865 0.865 0.501
Tm 0.241 0.241 0.999
Tm 0.759 0.759 0.001

For PmSm8Tm4, a PBE-relaxed structure gives the computed XRD peak list in this record (copper Kα).
No peak broadening, texture or thermal motion is included.

The 8 most intense peaks (10 to 80 degrees two-theta), by angle:
| two_theta | I/Imax |
| --- | --- |
| 28.4 | 17 |
| 28.8 | 26 |
| 31.1 | 100 |
| 32.6 | 36 |
| 38.4 | 32 |
| 50.0 | 28 |
| 51.4 | 15 |
| 58.7 | 19 |

a b c (Å): 10.219 10.219 10.219
angles (deg): 41.82 41.82 41.82
Fractional positions:
Pm 0.000 0.000 0.000
Sm 0.251 0.251 0.702
Sm 0.251 0.702 0.251
Sm 0.284 0.284 0.284
Sm 0.298 0.749 0.749
Sm 0.702 0.251 0.251
Sm 0.716 0.716 0.716
Sm 0.749 0.298 0.749
Sm 0.749 0.749 0.298
Tm 0.000 0.000 0.500
Tm 0.000 0.500 0.000
Tm 0.500 0.000 0.000
Tm 0.500 0.500 0.500

For Pm4SmTm5, a PBE-relaxed structure gives the computed XRD peak list in this record (copper Kα).
No peak broadening, texture or thermal motion is included.

The 8 most intense peaks (10 to 80 degrees two-theta), by angle:
| two_theta | I/Imax |
| --- | --- |
| 28.4 | 24 |
| 31.5 | 24 |
| 32.5 | 100 |
| 42.9 | 16 |
| 50.2 | 20 |
| 56.7 | 21 |
| 60.5 | 23 |
| 61.1 | 16 |

a b c (Å): 6.292 6.746 8.485
angles (deg): 77.41 68.25 90.00
Fractional positions:
Pm 0.000 0.000 0.000
Pm 0.198 0.398 0.601
Pm 0.435 0.699 0.801
Pm 0.635 0.098 0.403
Sm 0.399 0.796 0.204
Tm 0.029 0.897 0.601
Tm 0.233 0.300 0.199
Tm 0.602 0.200 0.803
Tm 0.804 0.597 0.400
Tm 0.831 0.497 0.004